For NdCo2P2, DFT lattice parameters and positions (GGA-PBE) gives the calculated powder XRD pattern in this record (Cu Kα (weighted mean of Kα1 and Kα2)).
Lines closer than 0.1° are merged.

Principal peaks in the range 15 to 90 degrees two-theta, low angle first:
2θ 24.61, I 45; 2θ 35.85, I 63; 2θ 36.61, I 17; 2θ 37.47, I 100; 2θ 46.69, I 42; 2θ 52.17, I 17; 2θ 60.23, I 27; 2θ 60.74, I 15; 2θ 66.48, I 22; 2θ 68.16, I 13; 2θ 72.59, I 12; 2θ 80.46, I 20

Crystal structure
```
data_NdCo2P2
_cell_length_a 3.891
_cell_length_b 3.891
_cell_length_c 9.819
_cell_angle_alpha 90.00
_cell_angle_beta 90.00
_cell_angle_gamma 90.00
_space_group_name_H-M_alt 'I 4/m m m'
_space_group_IT_number 139
_space_group_name_Hall '-I 4 2'
loop_
_atom_site_label
_atom_site_fract_x
_atom_site_fract_y
_atom_site_fract_z
Nd1 0.000 0.000 0.000
Co1 0.000 0.500 0.250
P1 0.000 0.000 0.365
```